Record 1
This entry pairs a crystal structure of K2CoPbCl6 with its simulated powder X-ray diffraction pattern. Radiation: CuKα. Structure: a structure optimized by DFT (PBE).

Atomic structure:
Lattice parameters (Å, degrees): 7.251 7.279 7.364 90.48 119.35 118.56
Positions (direct):
K  0.001  0.230  0.264
K  0.999  0.770  0.736
Co  0.500  0.000  0.500
Pb  0.500  0.500  0.000
Cl  0.037  0.799  0.320
Cl  0.436  0.680  0.302
Cl  0.471  0.154  0.197
Cl  0.529  0.846  0.803
Cl  0.564  0.320  0.698
Cl  0.963  0.201  0.680

Peak list (6 most intense, 2θ from 15° to 90°, by intensity)
24.51 deg, I 100
24.16 deg, I 98
16.84 deg, I 86
17.06 deg, I 76
34.05 deg, I 68
17.21 deg, I 68


Record 2
This entry pairs a crystal structure of K2TlCoCl6 with its simulated powder X-ray diffraction pattern. Radiation: CuKα. Structure: a structure optimized by DFT (PBE).

Atomic structure:
Lattice parameters (Å, degrees): 7.229 7.458 12.529 90.00 124.38 90.00
Positions (direct):
K  0.227  0.066  0.246
K  0.227  0.434  0.746
K  0.773  0.566  0.254
K  0.773  0.934  0.754
Tl  0.500  0.000  0.000
Tl  0.500  0.500  0.500
Co  0.000  0.000  0.500
Co  0.000  0.500  0.000
Cl  0.112  0.243  0.952
Cl  0.112  0.257  0.452
Cl  0.212  0.667  0.954
Cl  0.212  0.833  0.454
Cl  0.299  0.021  0.710
Cl  0.299  0.479  0.210
Cl  0.701  0.521  0.790
Cl  0.701  0.979  0.290
Cl  0.788  0.167  0.546
Cl  0.788  0.333  0.046
Cl  0.888  0.743  0.548
Cl  0.888  0.757  0.048

Peak list (6 most intense, 2θ from 15° to 90°, by intensity)
17.10 deg, I 100
24.17 deg, I 39
24.43 deg, I 38
34.56 deg, I 34
38.28 deg, I 27
23.86 deg, I 20


Record 3
This entry pairs a crystal structure of La2CoCl with its simulated powder X-ray diffraction pattern. Radiation: CuKα. Structure: a structure optimized by DFT (PBE).

Atomic structure:
Lattice parameters (Å, degrees): 4.079 4.146 5.882 90.00 90.00 90.00
Positions (direct):
La  0.000  0.000  0.000
La  0.500  0.500  0.500
Co  0.000  0.000  0.500
Cl  0.500  0.500  0.000

Peak list (6 most intense, 2θ from 15° to 90°, by intensity)
30.75 deg, I 100
43.78 deg, I 74
30.39 deg, I 52
26.30 deg, I 32
26.59 deg, I 31
54.13 deg, I 19


Record 4
This entry pairs a crystal structure of La2Co2Cl with its simulated powder X-ray diffraction pattern. Radiation: CuKα. Structure: a structure optimized by DFT (PBE).

Atomic structure:
Lattice parameters (Å, degrees): 4.002 4.002 8.583 103.44 103.44 60.01
Positions (direct):
La  0.076  0.076  0.228
La  0.924  0.924  0.772
Co  0.333  0.333  0.000
Co  0.667  0.667  0.000
Cl  0.500  0.500  0.500

Peak list (6 most intense, 2θ from 15° to 90°, by intensity)
36.26 deg, I 100
31.49 deg, I 99
45.32 deg, I 74
64.85 deg, I 40
25.96 deg, I 37
38.98 deg, I 35


Record 5
This entry pairs a crystal structure of La6Co3Cl2 with its simulated powder X-ray diffraction pattern. Radiation: CuKα. Structure: a structure optimized by DFT (PBE).

Atomic structure:
Lattice parameters (Å, degrees): 7.033 7.033 7.768 98.60 98.60 120.14
Positions (direct):
La  0.097  0.430  0.796
La  0.235  0.235  0.202
La  0.430  0.097  0.796
La  0.570  0.903  0.204
La  0.765  0.765  0.798
La  0.903  0.570  0.204
Co  0.172  0.828  0.000
Co  0.500  0.500  0.000
Co  0.828  0.172  0.000
Cl  0.334  0.666  0.500
Cl  0.666  0.334  0.500

Peak list (6 most intense, 2θ from 15° to 90°, by intensity)
30.09 deg, I 100
26.60 deg, I 39
41.42 deg, I 28
44.70 deg, I 25
38.20 deg, I 20
54.80 deg, I 18


Record 6
This entry pairs a crystal structure of La8CoPt3Cl4 with its simulated powder X-ray diffraction pattern. Radiation: CuKα. Structure: a structure optimized by DFT (PBE).

Atomic structure:
Lattice parameters (Å, degrees): 9.007 9.007 9.007 55.83 55.83 55.83
Positions (direct):
La  0.236  0.236  0.236
La  0.248  0.729  0.729
La  0.271  0.271  0.752
La  0.271  0.752  0.271
La  0.729  0.248  0.729
La  0.729  0.729  0.248
La  0.752  0.271  0.271
La  0.764  0.764  0.764
Co  0.500  0.500  0.500
Pt  0.000  0.000  0.500
Pt  0.000  0.500  0.000
Pt  0.500  0.000  0.000
Cl  0.000  0.000  0.000
Cl  0.000  0.500  0.500
Cl  0.500  0.000  0.500
Cl  0.500  0.500  0.000

Peak list (6 most intense, 2θ from 15° to 90°, by intensity)
29.07 deg, I 100
42.90 deg, I 37
40.21 deg, I 32
37.05 deg, I 21
52.65 deg, I 18
70.17 deg, I 15


Record 7
This entry pairs a crystal structure of La4CoPtCl2 with its simulated powder X-ray diffraction pattern. Radiation: CuKα. Structure: a structure optimized by DFT (PBE).

Atomic structure:
Lattice parameters (Å, degrees): 7.275 4.129 7.985 90.00 107.97 90.00
Positions (direct):
La  0.222  0.000  0.202
La  0.251  0.500  0.795
La  0.749  0.500  0.205
La  0.778  0.000  0.798
Co  0.000  0.500  0.000
Pt  0.500  0.000  0.000
Cl  0.000  0.000  0.500
Cl  0.500  0.500  0.500

Peak list (6 most intense, 2θ from 15° to 90°, by intensity)
29.44 deg, I 100
29.06 deg, I 51
40.35 deg, I 46
43.27 deg, I 37
50.83 deg, I 22
37.33 deg, I 21